Record 1
Structure and simulated powder diffractogram of Pr6InHg (a structure optimized by DFT (GGA-PBE); CuKα).
Intensities are scaled so that the largest is 100.

Peak list (8 most intense, 10 to 80 degrees two-theta, most intense first)
two_theta  intensity  hkl
30.87  100.0  1 0 -2
34.21  67.1  1 -1 2
28.01  57.3  2 0 0
31.90  47.1  0 1 2
35.68  36.6  2 1 1
52.65  34.4  2 -3 1
34.31  32.8  2 1 -1
33.75  26.4  1 1 -2

Structural model:
Unit cell a=6.3765 b=6.3766 c=6.3892 alpha=92.24 beta=92.13 gamma=92.40
Space group P-1 (No. 2)
Asymmetric unit:
Pr1 0.0209 0.0413 0.2510
Pr2 0.2491 0.4810 0.9578
Pr3 0.4594 0.7493 0.4747
In1 0.5000 0.0000 0.0000
Hg1 0.0000 0.5000 0.5000

Record 2
Structure and simulated powder diffractogram of U2MnAl2Si4 (a structure optimized by DFT (GGA-PBE); CuKα).
Intensities are scaled so that the largest is 100.

Peak list (8 most intense, 10 to 80 degrees two-theta, most intense first)
two_theta  intensity  hkl
30.45  100.0  1 1 2
37.41  84.3  2 0 2
21.20  62.6  1 1 0
30.16  49.2  2 0 0
43.18  40.5  2 2 0
53.76  40.3  3 1 2
21.61  28.0  0 0 2
63.37  25.0  2 2 4

Structural model:
Unit cell a=5.9255 b=5.9255 c=8.2265 alpha=90.00 beta=90.00 gamma=90.00
Space group I4/mmm (No. 139)
Asymmetric unit:
U1 0.0000 0.5000 0.2500
Mn1 0.0000 0.0000 0.0000
Al1 0.0000 0.0000 0.2833
Si1 0.2266 0.2266 0.5000

Record 3
Structure and simulated powder diffractogram of NdCd2TeO6 (a structure optimized by DFT (GGA-PBE); CuKα).
Intensities are scaled so that the largest is 100.

Peak list (8 most intense, 10 to 80 degrees two-theta, most intense first)
two_theta  intensity  hkl
29.44  100.0  1 0 4
30.88  92.1  1 1 0
43.19  41.5  0 2 4
54.03  39.2  2 1 4
54.93  26.9  3 0 0
47.62  25.3  1 1 6
21.21  16.8  0 1 2
72.32  14.2  4 -3 4

Structural model:
Unit cell a=5.7907 b=5.7907 c=15.2441 alpha=90.00 beta=90.00 gamma=120.00
Space group R3 (No. 146, hexagonal axes)
Asymmetric unit:
Nd1 0.0000 0.0000 0.0000
Cd1 0.0000 0.0000 0.2179
Cd2 0.0000 0.0000 0.7289
Te1 0.0000 0.0000 0.5092
O1 0.0130 0.7303 0.5945
O2 0.0427 0.3355 0.1061

Record 4
Structure and simulated powder diffractogram of Cs2PuBiO6 (a structure optimized by DFT (GGA-PBE); CuKα).
Intensities are scaled so that the largest is 100.

Peak list (8 most intense, 10 to 80 degrees two-theta, most intense first)
two_theta  intensity  hkl
28.30  100.0  2 2 0
50.10  42.3  4 2 2
40.45  27.2  4 0 0
66.26  19.4  6 2 0
58.53  17.8  4 4 0
19.91  11.8  2 0 0
73.56  6.0  4 4 4
45.47  5.8  4 2 0

Structural model:
Unit cell a=8.9205 b=8.9205 c=8.9205 alpha=90.00 beta=90.00 gamma=90.00
Space group Fm-3m (No. 225)
Asymmetric unit:
Cs1 0.2500 0.2500 0.2500
Pu1 0.0000 0.0000 0.0000
Bi1 0.0000 0.0000 0.5000
O1 0.0000 0.0000 0.2290

Record 5
Structure and simulated powder diffractogram of CoNi3H3 (a structure optimized by DFT (GGA-PBE); CuKα).
Intensities are scaled so that the largest is 100.

Peak list (3 most intense, 10 to 80 degrees two-theta, most intense first)
two_theta  intensity  hkl
42.70  100.0  1 1 1
49.72  49.2  2 0 0
72.96  28.1  2 2 0

Structural model:
Unit cell a=3.6676 b=3.6676 c=3.6676 alpha=90.00 beta=90.00 gamma=90.00
Space group Pm-3m (No. 221)
Asymmetric unit:
Co1 0.0000 0.0000 0.0000
Ni1 0.0000 0.5000 0.5000
H1 0.0000 0.0000 0.5000

Record 6
Structure and simulated powder diffractogram of Hf2PbF11 (a structure optimized by DFT (GGA-PBE); CuKα).
Intensities are scaled so that the largest is 100.

Peak list (8 most intense, 10 to 80 degrees two-theta, most intense first)
two_theta  intensity  hkl
21.79  100.0  1 1 2
24.12  69.3  0 2 2
25.90  60.7  2 1 1
44.44  45.8  1 3 4
22.64  37.6  1 2 1
29.10  37.4  1 3 0
49.85  36.0  4 0 2
47.43  32.4  3 3 2

Structural model:
Unit cell a=7.7765 b=10.0173 c=10.9085 alpha=90.00 beta=90.00 gamma=90.00
Space group Ibam (No. 72)
Asymmetric unit:
Hf1 0.1352 0.1808 0.0000
Pb1 0.0000 0.5000 0.2500
F1 0.0000 0.0000 0.0000
F2 0.1041 0.3138 0.1389
F3 0.1286 0.2210 0.5000
F4 0.2385 0.4255 0.3688

Record 7
Structure and simulated powder diffractogram of La3SnO (a structure optimized by DFT (GGA-PBE); CuKα).
Intensities are scaled so that the largest is 100.

Peak list (8 most intense, 10 to 80 degrees two-theta, most intense first)
two_theta  intensity  hkl
30.36  100.0  1 1 2
33.98  23.4  0 2 0
28.79  21.5  0 0 4
58.58  15.8  1 3 2
41.77  13.2  2 0 0
45.12  12.7  0 2 4
54.90  11.8  2 2 0
69.24  9.7  3 1 2

Structural model:
Unit cell a=4.3247 b=5.2770 c=12.4048 alpha=90.00 beta=90.00 gamma=90.00
Space group Imm2 (No. 44)
Asymmetric unit:
La1 0.0000 0.0000 0.0000
La2 0.0000 0.0000 0.4257
La3 0.0000 0.5000 0.2209
Sn1 0.0000 0.5000 0.7189
O1 0.0000 0.5000 0.4134

Record 8
Structure and simulated powder diffractogram of AcMg9Hg3 (a structure optimized by DFT (GGA-PBE); CuKα).
Intensities are scaled so that the largest is 100.

Peak list (8 most intense, 10 to 80 degrees two-theta, most intense first)
two_theta  intensity  hkl
24.91  100.0  0 4 0
35.49  90.0  0 4 2
34.48  67.3  2 2 0
34.73  65.9  2 2 -2
12.37  57.3  0 0 1
17.54  57.2  0 2 1
17.16  56.0  1 1 -1
24.64  29.8  1 3 -1

Structural model:
Unit cell a=6.0383 b=14.2945 c=7.7342 alpha=90.00 beta=112.35 gamma=90.00
Space group C2/m (No. 12)
Asymmetric unit:
Ac1 0.0000 0.0000 0.0000
Mg1 0.0000 0.0000 0.5000
Mg2 0.1048 0.3900 0.2152
Mg3 0.1747 0.1772 0.3495
Hg1 0.0000 0.5000 0.5000
Hg2 0.2500 0.2500 0.0000

Record 9
Structure and simulated powder diffractogram of Ca5HPb2 (a structure optimized by DFT (GGA-PBE); CuKα).
Intensities are scaled so that the largest is 100.

Peak list (8 most intense, 10 to 80 degrees two-theta, most intense first)
two_theta  intensity  hkl
31.36  100.0  2 0 2
17.48  67.7  1 1 0
25.83  56.4  1 1 2
35.39  36.5  2 2 0
61.03  29.0  4 2 2
44.33  28.0  3 1 2
53.11  22.3  2 2 4
39.73  18.7  3 1 0

Structural model:
Unit cell a=7.1738 b=7.1738 c=9.4063 alpha=90.00 beta=90.00 gamma=90.00
Space group I4mm (No. 107)
Asymmetric unit:
Ca1 0.0000 0.0000 0.0000
Ca2 0.2468 0.2468 0.7479
H1 0.0000 0.0000 0.7627
Pb1 0.0000 0.5000 0.4967

Record 10
Structure and simulated powder diffractogram of Mn3Au (a structure optimized by DFT (GGA-PBE); CuKα).
Intensities are scaled so that the largest is 100.

Peak list (8 most intense, 10 to 80 degrees two-theta, most intense first)
two_theta  intensity  hkl
40.52  100.0  1 1 2
25.89  47.4  1 0 1
47.39  31.5  2 0 0
68.68  19.9  2 0 4
46.64  16.5  0 0 4
22.83  15.9  0 0 2
42.02  14.0  1 0 3
54.79  13.4  2 1 1

Structural model:
Unit cell a=3.8365 b=3.8365 c=7.7897 alpha=90.00 beta=90.00 gamma=90.00
Space group I4/mmm (No. 139)
Asymmetric unit:
Mn1 0.0000 0.0000 0.0000
Mn2 0.0000 0.5000 0.2500
Au1 0.0000 0.0000 0.5000

Record 11
Structure and simulated powder diffractogram of Sm3Ni8Pt (a structure optimized by DFT (GGA-PBE); CuKα).
Intensities are scaled so that the largest is 100.

Peak list (8 most intense, 10 to 80 degrees two-theta, most intense first)
two_theta  intensity  hkl
42.05  100.0  2 0 2
35.67  43.4  1 1 0
35.53  38.5  0 1 8
41.91  29.6  1 0 10
68.39  28.3  3 0 6
64.02  22.1  3 0 0
44.03  15.4  0 2 4
75.54  15.2  2 2 0

Structural model:
Unit cell a=5.0345 b=5.0345 c=24.7985 alpha=90.00 beta=90.00 gamma=120.00
Space group R3m (No. 160, hexagonal axes)
Asymmetric unit:
Sm1 0.0000 0.0000 0.0000
Sm2 0.0000 0.0000 0.1305
Sm3 0.0000 0.0000 0.6118
Ni1 0.0000 0.0000 0.3105
Ni2 0.0000 0.0000 0.8106
Ni3 0.0030 0.5015 0.0619
Ni4 0.0032 0.5016 0.5601
Pt1 0.0000 0.0000 0.4922

Record 12
Structure and simulated powder diffractogram of Ac2ReN4 (a structure optimized by DFT (GGA-PBE); CuKα).
Intensities are scaled so that the largest is 100.

Peak list (8 most intense, 10 to 80 degrees two-theta, most intense first)
two_theta  intensity  hkl
29.45  100.0  0 1 3
28.85  73.0  2 1 1
30.13  69.4  0 2 0
28.62  37.0  2 0 2
27.57  36.9  2 1 0
42.03  29.7  2 2 2
25.33  29.3  1 1 2
34.43  20.6  2 0 3

Structural model:
Unit cell a=7.7210 b=5.9328 c=10.5862 alpha=90.00 beta=90.00 gamma=90.00
Space group Pnma (No. 62)
Asymmetric unit:
Ac1 0.0026 0.2500 0.1998
Ac2 0.1512 0.2500 0.5622
Re1 0.2103 0.2500 0.9193
N1 0.0279 0.7500 0.0757
N2 0.1790 0.7500 0.5803
N3 0.2007 0.0088 0.3468

Record 13
Structure and simulated powder diffractogram of InAsP2 (a structure optimized by DFT (GGA-PBE); CuKα).
Intensities are scaled so that the largest is 100.

Peak list (8 most intense, 10 to 80 degrees two-theta, most intense first)
two_theta  intensity  hkl
33.20  100.0  1 1 -1
32.41  51.3  1 0 1
46.07  47.1  2 0 -2
30.85  37.5  0 1 1
48.07  35.1  2 1 0
20.16  27.7  1 0 0
37.03  16.8  1 0 -2
49.20  16.7  0 2 0

Structural model:
Unit cell a=4.6848 b=3.7041 c=4.9511 alpha=90.00 beta=109.94 gamma=90.00
Space group Pm (No. 6)
Asymmetric unit:
In1 0.0000 0.0000 0.0000
As1 0.7501 0.5000 0.3252
P1 0.2193 0.5000 0.6968
P2 0.4780 0.0000 0.5183